The following is a theoretical X-ray powder pattern of BiAsPd6. It was derived from a DFT-relaxed cell (PBE, the Materials Project), using CuKα.

Atomic structure:
Cell lengths 4.5717, 4.5717, 22.4282 Å; angles 90.00, 90.00, 120.00 degrees
Space group R-3m (No. 166, hexagonal axes)
Inequivalent atoms, fractional coordinates:
Bi 0.0000 0.0000 0.0000 (multiplicity 3)
As 0.0000 0.0000 0.5000 (multiplicity 3)
Pd 0.0000 0.0000 0.1329 (multiplicity 6)
Pd 0.0000 0.0000 0.2544 (multiplicity 6)
Pd 0.0000 0.0000 0.3855 (multiplicity 6)

Most intense lines, 2θ from 5° to 70°, low angle first:
| d [Å] | Rel. int. | hkl |
| --- | --- | --- |
| 7.476 | 3 | 0 0 3 |
| 3.899 | 3 | 1 0 1 |
| 3.734 | 1 | 0 1 2 |
| 2.968 | 4 | 0 1 5 |
| 2.491 | 7 | 1 0 7 |
| 2.287 | 100 | 1 1 0 |
| 1.684 | 2 | 0 2 7 |
| 1.617 | 16 | 2 0 8 |
| 1.495 | 2 | 0 0 15 |
| 1.356 | 2 | 2 1 7 |

The following is a theoretical X-ray powder pattern of Sr3BiAs. It was derived from a DFT-relaxed cell (PBE, the Materials Project), using CuKα.

Atomic structure:
Cell lengths 5.880, 5.880, 5.880 Å; angles 90.00, 90.00, 90.00 degrees
Space group Pm-3m (No. 221)
Inequivalent atoms, fractional coordinates:
Sr 0.000 0.000 0.500 (multiplicity 3)
Bi 0.500 0.500 0.500 (multiplicity 1)
As 0.000 0.000 0.000 (multiplicity 1)

Most intense lines, 2θ from 5° to 70°, low angle first:
| d [Å] | Rel. int. | hkl |
| --- | --- | --- |
| 4.158 | 59 | 1 1 0 |
| 3.395 | 99 | 1 1 1 |
| 2.940 | 100 | 2 0 0 |
| 2.400 | 29 | 2 1 1 |
| 2.079 | 75 | 2 2 0 |
| 1.859 | 14 | 3 1 0 |
| 1.773 | 47 | 3 1 1 |
| 1.697 | 26 | 2 2 2 |
| 1.571 | 16 | 3 2 1 |
| 1.349 | 20 | 3 3 1 |

The following is a theoretical X-ray powder pattern of Sr3BiAs. It was derived from a DFT-relaxed cell (PBE, the Materials Project), using CuKα.

Atomic structure:
Cell lengths 6.197, 6.197, 6.197 Å; angles 90.00, 90.00, 90.00 degrees
Space group Pm-3m (No. 221)
Inequivalent atoms, fractional coordinates:
Sr 0.000 0.000 0.500 (multiplicity 3)
Bi 0.000 0.000 0.000 (multiplicity 1)
As 0.500 0.500 0.500 (multiplicity 1)

Most intense lines, 2θ from 5° to 70°, low angle first:
| d [Å] | Rel. int. | hkl |
| --- | --- | --- |
| 6.197 | 78 | 1 0 0 |
| 4.382 | 58 | 1 1 0 |
| 3.098 | 100 | 2 0 0 |
| 2.771 | 46 | 2 1 0 |
| 2.530 | 29 | 2 1 1 |
| 2.191 | 76 | 2 2 0 |
| 2.066 | 26 | 3 0 0 |
| 1.789 | 27 | 2 2 2 |
| 1.656 | 17 | 3 2 1 |
| 1.386 | 36 | 4 2 0 |

The following is a theoretical X-ray powder pattern of AsBr3. It was derived from a DFT-relaxed cell (PBE, the Materials Project), using CuKα.

Atomic structure:
Cell lengths 4.687, 11.202, 13.162 Å; angles 90.00, 90.00, 90.00 degrees
Space group P2_12_12_1 (No. 19)
Inequivalent atoms, fractional coordinates:
As 0.016 0.191 0.213 (multiplicity 4)
Br 0.244 0.800 0.873 (multiplicity 4)
Br 0.247 0.652 0.626 (multiplicity 4)
Br 0.250 0.024 0.139 (multiplicity 4)

Most intense lines, 2θ from 5° to 70°, low angle first:
| d [Å] | Rel. int. | hkl |
| --- | --- | --- |
| 6.581 | 39 | 0 0 2 |
| 4.108 | 100 | 1 1 1 |
| 3.468 | 35 | 1 2 1 |
| 3.291 | 37 | 0 0 4 |
| 3.248 | 66 | 0 3 2 |
| 3.155 | 57 | 1 2 2 |
| 3.080 | 34 | 1 1 3 |
| 1.909 | 33 | 2 0 4 |
| 1.900 | 49 | 2 3 2 |
| 1.891 | 30 | 0 3 6 |